Starting from the PBE geometry in the Materials Project, the X-ray diffraction stick pattern of NaMg6Co was calculated for Cu Kα (weighted mean of Kα1 and Kα2).

The 10 most intense peaks (15° ≤ 2θ ≤ 90°), by angle:
- 16.1 deg, rel. 196
- 32.6 deg, rel. 223
- 33.9 deg, rel. 143
- 36.5 deg, rel. 349
- 37.5 deg, rel. 1000
- 38.6 deg, rel. 405
- 49.8 deg, rel. 136
- 59.8 deg, rel. 146
- 66.4 deg, rel. 168
- 72.1 deg, rel. 159

Atomic structure:
Lattice parameters (Å, degrees): 4.9229 6.1928 6.1928 62.47 90.00 90.00
Positions (direct):
Na: 0.0000 0.0000 0.0000
Mg: 0.0000 0.4982 0.9984
Mg: 0.0000 0.9984 0.4982
Mg: 0.5000 0.3358 0.3358
Mg: 0.5000 0.3434 0.8026
Mg: 0.5000 0.8026 0.3434
Mg: 0.5000 0.8257 0.8257
Co: 0.0000 0.5004 0.5004